Entry 1:
# Hf3Mn2Be
Computed powder diffractogram, Cu Kα X-rays. Input: DFT lattice parameters and positions (GGA-PBE).
Intensities are scaled so that the largest is 100.

```
data_Hf3Mn2Be
_cell_length_a 3.166
_cell_length_b 3.166
_cell_length_c 9.389
_cell_angle_alpha 90.00
_cell_angle_beta 90.00
_cell_angle_gamma 90.00
_symmetry_space_group_name_H-M 'P 1'
_symmetry_Int_Tables_number 1
loop_
_symmetry_equiv_pos_as_xyz
'x,y,z'
loop_
_atom_site_label
_atom_site_type_symbol
_atom_site_fract_x
_atom_site_fract_y
_atom_site_fract_z
Hf1 Hf 0.000 0.000 0.000
Hf2 Hf 0.000 0.000 0.333
Hf3 Hf 0.000 0.000 0.667
Mn1 Mn 0.500 0.500 0.172
Mn2 Mn 0.500 0.500 0.828
Be1 Be 0.500 0.500 0.500
```

Largest 6 diffraction maxima, in order of rising 2θ, 2θ = 10–90°:
28.18 deg, I = 52
28.52 deg, I = 25
40.28 deg, I = 51
40.53 deg, I = 100
50.10 deg, I = 23
73.39 deg, I = 34

=====

Entry 2:
# TlIn7Sn5
Computed powder diffractogram, Cu Kα X-rays. Input: DFT lattice parameters and positions (GGA-PBE).
Intensities are scaled so that the largest is 100.

```
data_TlIn7Sn5
_cell_length_a 8.238
_cell_length_b 8.238
_cell_length_c 6.260
_cell_angle_alpha 110.25
_cell_angle_beta 110.25
_cell_angle_gamma 84.44
_symmetry_space_group_name_H-M 'P 1'
_symmetry_Int_Tables_number 1
loop_
_symmetry_equiv_pos_as_xyz
'x,y,z'
loop_
_atom_site_label
_atom_site_type_symbol
_atom_site_fract_x
_atom_site_fract_y
_atom_site_fract_z
Tl1 Tl 0.000 0.000 0.000
In1 In 0.183 0.838 0.488
In2 In 0.243 0.243 0.732
In3 In 0.355 0.649 0.085
In4 In 0.360 0.360 0.383
In5 In 0.648 0.648 0.668
In6 In 0.649 0.355 0.085
In7 In 0.838 0.183 0.488
Sn1 Sn 0.016 0.570 0.613
Sn2 Sn 0.445 0.998 0.051
Sn3 Sn 0.570 0.016 0.613
Sn4 Sn 0.768 0.768 0.244
Sn5 Sn 0.998 0.445 0.051
```

Largest 6 diffraction maxima, in order of rising 2θ, 2θ = 10–90°:
28.06 deg, I = 36
32.35 deg, I = 100
32.91 deg, I = 35
33.09 deg, I = 38
33.55 deg, I = 25
36.49 deg, I = 27

=====

Entry 3:
# Cs2PaAsSe6
Computed powder diffractogram, Cu Kα X-rays. Input: DFT lattice parameters and positions (GGA-PBE).
Intensities are scaled so that the largest is 100.

```
data_Cs2PaAsSe6
_cell_length_a 7.790
_cell_length_b 7.790
_cell_length_c 6.554
_cell_angle_alpha 90.00
_cell_angle_beta 90.00
_cell_angle_gamma 120.00
_symmetry_space_group_name_H-M 'P 1'
_symmetry_Int_Tables_number 1
loop_
_symmetry_equiv_pos_as_xyz
'x,y,z'
loop_
_atom_site_label
_atom_site_type_symbol
_atom_site_fract_x
_atom_site_fract_y
_atom_site_fract_z
Cs1 Cs 0.333 0.667 0.268
Cs2 Cs 0.667 0.333 0.732
Pa1 Pa 0.000 0.000 0.000
As1 As 0.000 0.000 0.500
Se1 Se 0.160 0.319 0.731
Se2 Se 0.160 0.840 0.731
Se3 Se 0.319 0.160 0.269
Se4 Se 0.681 0.840 0.731
Se5 Se 0.840 0.160 0.269
Se6 Se 0.840 0.681 0.269
```

Largest 6 diffraction maxima, in order of rising 2θ, 2θ = 10–90°:
13.12 deg, I = 60
22.83 deg, I = 36
29.79 deg, I = 100
38.29 deg, I = 53
45.05 deg, I = 24
46.64 deg, I = 35

=====

Entry 4:
# Ca2Ga4AgGe3
Computed powder diffractogram, Cu Kα X-rays. Input: DFT lattice parameters and positions (GGA-PBE).
Intensities are scaled so that the largest is 100.

```
data_Ca2Ga4AgGe3
_cell_length_a 4.534
_cell_length_b 4.534
_cell_length_c 10.468
_cell_angle_alpha 90.00
_cell_angle_beta 90.00
_cell_angle_gamma 90.00
_symmetry_space_group_name_H-M 'P 1'
_symmetry_Int_Tables_number 1
loop_
_symmetry_equiv_pos_as_xyz
'x,y,z'
loop_
_atom_site_label
_atom_site_type_symbol
_atom_site_fract_x
_atom_site_fract_y
_atom_site_fract_z
Ca1 Ca 0.000 0.500 0.239
Ca2 Ca 0.500 0.000 0.761
Ga1 Ga 0.000 0.000 0.500
Ga2 Ga 0.000 0.500 0.870
Ga3 Ga 0.500 0.000 0.130
Ga4 Ga 0.500 0.500 0.500
Ag1 Ag 0.500 0.500 0.000
Ge1 Ge 0.000 0.000 0.000
Ge2 Ge 0.000 0.500 0.630
Ge3 Ge 0.500 0.000 0.370
```

Largest 6 diffraction maxima, in order of rising 2θ, 2θ = 10–90°:
16.94 deg, I = 34
32.38 deg, I = 41
32.76 deg, I = 100
39.76 deg, I = 78
44.70 deg, I = 66
67.77 deg, I = 28

=====

Entry 5:
# AcPr2Ga4
Computed powder diffractogram, Cu Kα X-rays. Input: DFT lattice parameters and positions (GGA-PBE).
Intensities are scaled so that the largest is 100.

```
data_AcPr2Ga4
_cell_length_a 4.309
_cell_length_b 4.575
_cell_length_c 19.044
_cell_angle_alpha 90.00
_cell_angle_beta 90.00
_cell_angle_gamma 90.00
_symmetry_space_group_name_H-M 'P 1'
_symmetry_Int_Tables_number 1
loop_
_symmetry_equiv_pos_as_xyz
'x,y,z'
loop_
_atom_site_label
_atom_site_type_symbol
_atom_site_fract_x
_atom_site_fract_y
_atom_site_fract_z
Ac1 Ac 0.000 0.000 0.000
Ac2 Ac 0.500 0.500 0.500
Pr1 Pr 0.000 0.500 0.316
Pr2 Pr 0.000 0.500 0.684
Pr3 Pr 0.500 0.000 0.184
Pr4 Pr 0.500 0.000 0.816
Ga1 Ga 0.000 0.000 0.432
Ga2 Ga 0.000 0.000 0.568
Ga3 Ga 0.000 0.500 0.145
Ga4 Ga 0.000 0.500 0.855
Ga5 Ga 0.500 0.000 0.355
Ga6 Ga 0.500 0.000 0.645
Ga7 Ga 0.500 0.500 0.068
Ga8 Ga 0.500 0.500 0.932
```

Largest 6 diffraction maxima, in order of rising 2θ, 2θ = 10–90°:
24.98 deg, I = 25
29.99 deg, I = 100
30.54 deg, I = 52
34.23 deg, I = 29
39.16 deg, I = 28
39.39 deg, I = 26

=====

Entry 6:
# Rb2Na3Tl4Hg2
Computed powder diffractogram, Cu Kα X-rays. Input: DFT lattice parameters and positions (GGA-PBE).
Intensities are scaled so that the largest is 100.

```
data_Rb2Na3Tl4Hg2
_cell_length_a 13.820
_cell_length_b 13.820
_cell_length_c 13.820
_cell_angle_alpha 155.77
_cell_angle_beta 155.77
_cell_angle_gamma 34.53
_symmetry_space_group_name_H-M 'P 1'
_symmetry_Int_Tables_number 1
loop_
_symmetry_equiv_pos_as_xyz
'x,y,z'
loop_
_atom_site_label
_atom_site_type_symbol
_atom_site_fract_x
_atom_site_fract_y
_atom_site_fract_z
Rb1 Rb 0.192 0.192 0.000
Rb2 Rb 0.808 0.808 0.000
Na1 Na 0.354 0.354 0.000
Na2 Na 0.500 0.500 0.000
Na3 Na 0.646 0.646 0.000
Tl1 Tl 0.088 0.588 0.500
Tl2 Tl 0.412 0.912 0.500
Tl3 Tl 0.588 0.088 0.500
Tl4 Tl 0.912 0.412 0.500
Hg1 Hg 0.053 0.053 0.000
Hg2 Hg 0.947 0.947 0.000
```

Largest 6 diffraction maxima, in order of rising 2θ, 2θ = 10–90°:
15.64 deg, I = 70
20.19 deg, I = 42
25.57 deg, I = 51
29.78 deg, I = 63
30.82 deg, I = 100
44.15 deg, I = 38

=====

Entry 7:
# Tl3H4Se2I3
Computed powder diffractogram, Cu Kα X-rays. Input: DFT lattice parameters and positions (GGA-PBE).
Intensities are scaled so that the largest is 100.

```
data_Tl3H4Se2I3
_cell_length_a 12.127
_cell_length_b 12.127
_cell_length_c 12.127
_cell_angle_alpha 147.43
_cell_angle_beta 42.30
_cell_angle_gamma 153.75
_symmetry_space_group_name_H-M 'P 1'
_symmetry_Int_Tables_number 1
loop_
_symmetry_equiv_pos_as_xyz
'x,y,z'
loop_
_atom_site_label
_atom_site_type_symbol
_atom_site_fract_x
_atom_site_fract_y
_atom_site_fract_z
Tl1 Tl 0.000 0.000 0.000
Tl2 Tl 0.221 0.841 0.379
Tl3 Tl 0.462 0.841 0.621
H1 H 0.124 0.324 0.800
H2 H 0.456 0.580 0.875
H3 H 0.525 0.324 0.200
H4 H 0.705 0.580 0.125
Se1 Se 0.182 0.312 0.871
Se2 Se 0.441 0.312 0.129
I1 I 0.049 0.344 0.705
I2 I 0.639 0.344 0.295
I3 I 0.854 0.354 0.500
```

Largest 6 diffraction maxima, in order of rising 2θ, 2θ = 10–90°:
17.56 deg, I = 41
19.96 deg, I = 41
22.21 deg, I = 24
25.48 deg, I = 93
26.17 deg, I = 100
36.87 deg, I = 71

=====

Entry 8:
# Pr3Y8
Computed powder diffractogram, Cu Kα X-rays. Input: DFT lattice parameters and positions (GGA-PBE).
Intensities are scaled so that the largest is 100.

```
data_Pr3Y8
_cell_length_a 32.298
_cell_length_b 32.298
_cell_length_c 32.298
_cell_angle_alpha 6.42
_cell_angle_beta 6.42
_cell_angle_gamma 6.42
_symmetry_space_group_name_H-M 'P 1'
_symmetry_Int_Tables_number 1
loop_
_symmetry_equiv_pos_as_xyz
'x,y,z'
loop_
_atom_site_label
_atom_site_type_symbol
_atom_site_fract_x
_atom_site_fract_y
_atom_site_fract_z
Pr1 Pr 0.000 0.000 0.000
Pr2 Pr 0.272 0.272 0.272
Pr3 Pr 0.728 0.728 0.728
Y1 Y 0.092 0.092 0.092
Y2 Y 0.182 0.182 0.182
Y3 Y 0.364 0.364 0.364
Y4 Y 0.455 0.455 0.455
Y5 Y 0.545 0.545 0.545
Y6 Y 0.636 0.636 0.636
Y7 Y 0.818 0.818 0.818
Y8 Y 0.908 0.908 0.908
```

Largest 6 diffraction maxima, in order of rising 2θ, 2θ = 10–90°:
30.30 deg, I = 100
30.51 deg, I = 32
35.19 deg, I = 66
50.48 deg, I = 24
50.76 deg, I = 23
60.14 deg, I = 27